Entry 1:
The following is a computed X-ray powder pattern of SrCd4Sn4. It was derived from a DFT-relaxed cell (GGA-PBE, Alexandria), using a wavelength of 1.5418 Å.
No peak broadening, texture or thermal motion is included.

Largest 10 diffraction maxima, in order of rising 2θ, 2θ from 10° to 90°:
15.46°, 5.732 Å, intensity 18, hkl 1 0 1
28.08°, 3.178 Å, intensity 29, hkl 2 0 1
31.21°, 2.866 Å, intensity 81, hkl 0 0 4
34.03°, 2.634 Å, intensity 40, hkl 1 0 4
35.88°, 2.503 Å, intensity 100, hkl 2 0 3
38.50°, 2.338 Å, intensity 43, hkl 2 2 0
43.95°, 2.060 Å, intensity 17, hkl 2 1 4
55.59°, 1.653 Å, intensity 19, hkl 4 0 0
59.83°, 1.546 Å, intensity 23, hkl 3 2 4
67.95°, 1.380 Å, intensity 24, hkl 4 2 3

Structural model:
abc: 6.613 6.613 11.488
angles: 90.00 90.00 90.00
Space group P4_2/nmc (No. 137, origin choice 2)
Asymmetric unit:
Sr: 0.250 0.750 0.250 [2 per cell]
Cd: 0.034 0.250 0.191 [8 per cell]
Sn: 0.019 0.250 0.470 [8 per cell]


Entry 2:
The following is a computed X-ray powder pattern of CoRhPb. It was derived from a DFT-relaxed cell (GGA-PBE, Alexandria), using a wavelength of 1.5418 Å.
No peak broadening, texture or thermal motion is included.

Largest 10 diffraction maxima, in order of rising 2θ, 2θ from 10° to 90°:
25.65°, 3.473 Å, intensity 35, hkl 0 1 1
30.92°, 2.892 Å, intensity 22, hkl 1 0 1
37.61°, 2.391 Å, intensity 100, hkl 1 1 0
39.60°, 2.276 Å, intensity 85, hkl 0 1 3
43.37°, 2.086 Å, intensity 78, hkl 1 0 3
47.82°, 1.902 Å, intensity 25, hkl 0 2 0
58.01°, 1.590 Å, intensity 20, hkl 1 1 4
66.52°, 1.406 Å, intensity 42, hkl 1 2 3
74.47°, 1.274 Å, intensity 26, hkl 2 1 3
78.30°, 1.221 Å, intensity 22, hkl 1 1 6

Structural model:
abc: 3.075 3.804 8.520
angles: 90.00 90.00 90.00
Space group Imm2 (No. 44)
Asymmetric unit:
Co: 0.000 0.000 0.000 [2 per cell]
Rh: 0.000 0.000 0.354 [2 per cell]
Pb: 0.000 0.000 0.677 [2 per cell]


Entry 3:
The following is a computed X-ray powder pattern of Ba12CdAu5. It was derived from a DFT-relaxed cell (GGA-PBE, Alexandria), using a wavelength of 1.5418 Å.
No peak broadening, texture or thermal motion is included.

Largest 10 diffraction maxima, in order of rising 2θ, 2θ from 10° to 90°:
16.36°, 5.419 Å, intensity 17, hkl 2 0 0
26.80°, 3.326 Å, intensity 35, hkl 2 2 2
28.47°, 3.135 Å, intensity 100, hkl 1 3 2
29.22°, 3.057 Å, intensity 71, hkl 2 3 1
30.00°, 2.978 Å, intensity 19, hkl 3 2 1
31.44°, 2.845 Å, intensity 15, hkl 1 1 4
33.06°, 2.710 Å, intensity 24, hkl 4 0 0
33.17°, 2.701 Å, intensity 36, hkl 3 0 3
50.48°, 1.808 Å, intensity 28, hkl 5 3 2
58.47°, 1.578 Å, intensity 17, hkl 4 6 0

Structural model:
abc: 10.839 11.662 12.191
angles: 90.00 90.00 90.00
Space group Immm (No. 71)
Asymmetric unit:
Ba: 0.000 0.185 0.236 [8 per cell]
Ba: 0.189 0.500 0.165 [8 per cell]
Ba: 0.224 0.329 0.500 [8 per cell]
Cd: 0.000 0.000 0.500 [2 per cell]
Au: 0.000 0.000 0.000 [2 per cell]
Au: 0.000 0.334 0.000 [4 per cell]
Au: 0.000 0.500 0.377 [4 per cell]


Entry 4:
The following is a computed X-ray powder pattern of Tb6HC2S3. It was derived from a DFT-relaxed cell (GGA-PBE, Alexandria), using a wavelength of 1.5418 Å.
No peak broadening, texture or thermal motion is included.

Largest 10 diffraction maxima, in order of rising 2θ, 2θ from 10° to 90°:
28.34°, 3.150 Å, intensity 32, hkl 4 0 -2
29.06°, 3.073 Å, intensity 100, hkl 3 1 0
33.36°, 2.686 Å, intensity 78, hkl 1 1 -2
33.68°, 2.661 Å, intensity 37, hkl 6 0 0
47.34°, 1.920 Å, intensity 12, hkl 2 0 -4
47.71°, 1.906 Å, intensity 24, hkl 7 1 -2
48.44°, 1.879 Å, intensity 14, hkl 0 2 0
48.55°, 1.875 Å, intensity 26, hkl 5 1 2
57.44°, 1.604 Å, intensity 18, hkl 2 2 2
60.30°, 1.535 Å, intensity 14, hkl 6 2 0

Structural model:
abc: 16.514 3.758 7.683
angles: 90.00 104.79 90.00
Space group C2/m (No. 12)
Asymmetric unit:
Tb: 0.012 0.000 0.258 [4 per cell]
Tb: 0.166 0.500 0.112 [4 per cell]
Tb: 0.175 0.500 0.564 [4 per cell]
H: 0.000 0.500 0.000 [2 per cell]
C: 0.164 0.000 0.330 [4 per cell]
S: 0.000 0.500 0.500 [2 per cell]
S: 0.164 0.000 0.834 [4 per cell]


Entry 5:
The following is a computed X-ray powder pattern of NaU3S7. It was derived from a DFT-relaxed cell (GGA-PBE, Alexandria), using a wavelength of 1.5418 Å.
No peak broadening, texture or thermal motion is included.

Largest 10 diffraction maxima, in order of rising 2θ, 2θ from 10° to 90°:
14.39°, 6.156 Å, intensity 60, hkl 1 1 0
22.14°, 4.014 Å, intensity 55, hkl 2 0 0
23.14°, 3.843 Å, intensity 100, hkl 0 2 1
27.94°, 3.194 Å, intensity 53, hkl 2 0 -2
28.13°, 3.173 Å, intensity 35, hkl 2 2 -1
35.08°, 2.558 Å, intensity 29, hkl 1 3 1
35.94°, 2.499 Å, intensity 53, hkl 2 2 1
37.52°, 2.397 Å, intensity 22, hkl 0 4 0
43.60°, 2.076 Å, intensity 32, hkl 2 2 -3
45.83°, 1.980 Å, intensity 25, hkl 4 2 -1

Structural model:
abc: 8.728 9.589 6.989
angles: 90.00 113.10 90.00
Space group C2/m (No. 12)
Asymmetric unit:
Na: 0.000 0.000 0.000 [2 per cell]
U: 0.000 0.272 0.500 [4 per cell]
U: 0.000 0.500 0.000 [2 per cell]
S: 0.000 0.000 0.500 [2 per cell]
S: 0.151 0.500 0.745 [4 per cell]
S: 0.166 0.294 0.248 [8 per cell]


Entry 6:
The following is a computed X-ray powder pattern of CaPm2SnN4. It was derived from a DFT-relaxed cell (GGA-PBE, Alexandria), using a wavelength of 1.5418 Å.
No peak broadening, texture or thermal motion is included.

Largest 10 diffraction maxima, in order of rising 2θ, 2θ from 10° to 90°:
14.18°, 6.246 Å, intensity 22, hkl 0 0 2
16.13°, 5.494 Å, intensity 46, hkl 0 2 1
28.58°, 3.123 Å, intensity 50, hkl 0 0 4
29.20°, 3.059 Å, intensity 48, hkl 0 4 0
30.01°, 2.978 Å, intensity 87, hkl 1 1 2
36.63°, 2.453 Å, intensity 100, hkl 1 3 2
38.94°, 2.313 Å, intensity 30, hkl 0 2 5
41.32°, 2.185 Å, intensity 34, hkl 0 4 4
58.44°, 1.579 Å, intensity 22, hkl 1 1 7
61.00°, 1.519 Å, intensity 23, hkl 1 7 2

Structural model:
abc: 3.526 12.235 12.491
angles: 90.00 90.00 90.00
Space group Cmcm (No. 63)
Asymmetric unit:
Ca: 0.000 0.117 0.250 [4 per cell]
Pm: 0.000 0.370 0.029 [8 per cell]
Sn: 0.000 0.149 0.750 [4 per cell]
N: 0.000 0.000 0.000 [4 per cell]
N: 0.000 0.257 0.622 [8 per cell]
N: 0.000 0.452 0.250 [4 per cell]


Entry 7:
The following is a computed X-ray powder pattern of Tl3In4S8. It was derived from a DFT-relaxed cell (GGA-PBE, Alexandria), using a wavelength of 1.5418 Å.
No peak broadening, texture or thermal motion is included.

Largest 10 diffraction maxima, in order of rising 2θ, 2θ from 10° to 90°:
15.55°, 5.698 Å, intensity 20, hkl 0 0 1
26.77°, 3.330 Å, intensity 55, hkl 2 2 0
27.62°, 3.230 Å, intensity 50, hkl 2 2 -2
31.42°, 2.847 Å, intensity 100, hkl 0 0 2
31.67°, 2.825 Å, intensity 49, hkl 0 4 0
43.92°, 2.061 Å, intensity 19, hkl 4 0 0
45.21°, 2.005 Å, intensity 71, hkl 0 4 2
52.68°, 1.738 Å, intensity 19, hkl 2 2 2
55.16°, 1.665 Å, intensity 19, hkl 4 4 0
57.02°, 1.615 Å, intensity 18, hkl 4 4 -4

Structural model:
abc: 11.393 11.301 7.874
angles: 90.00 133.64 90.00
Space group C2/m (No. 12)
Asymmetric unit:
Tl: 0.000 0.000 0.000 [2 per cell]
Tl: 0.250 0.250 0.000 [4 per cell]
In: 0.000 0.500 0.000 [2 per cell]
In: 0.000 0.500 0.500 [2 per cell]
In: 0.250 0.250 0.500 [4 per cell]
S: 0.000 0.263 0.500 [4 per cell]
S: 0.000 0.265 0.000 [4 per cell]
S: 0.218 0.500 0.968 [4 per cell]
S: 0.222 0.500 0.469 [4 per cell]


Entry 8:
The following is a computed X-ray powder pattern of InTcPt2. It was derived from a DFT-relaxed cell (GGA-PBE, Alexandria), using a wavelength of 1.5418 Å.
No peak broadening, texture or thermal motion is included.

Largest 10 diffraction maxima, in order of rising 2θ, 2θ from 10° to 90°:
17.73°, 5.002 Å, intensity 14, hkl 0 0 1
37.81°, 2.379 Å, intensity 51, hkl 2 0 -2
38.53°, 2.337 Å, intensity 100, hkl 1 1 1
39.56°, 2.278 Å, intensity 47, hkl 4 0 0
44.33°, 2.043 Å, intensity 32, hkl 2 0 2
45.16°, 2.008 Å, intensity 64, hkl 3 1 -1
63.93°, 1.456 Å, intensity 20, hkl 1 1 -3
66.33°, 1.409 Å, intensity 20, hkl 5 1 1
78.24°, 1.222 Å, intensity 12, hkl 2 2 -2
79.35°, 1.208 Å, intensity 12, hkl 4 2 0

Structural model:
abc: 9.263 2.848 5.084
angles: 90.00 100.31 90.00
Space group Cm (No. 8)
Asymmetric unit:
In: 0.000 0.000 0.000 [2 per cell]
Tc: 0.248 0.500 0.300 [2 per cell]
Pt: 0.250 0.000 0.764 [2 per cell]
Pt: 0.492 0.000 0.490 [2 per cell]


Entry 9:
The following is a computed X-ray powder pattern of Dy3AlIn. It was derived from a DFT-relaxed cell (GGA-PBE, Alexandria), using a wavelength of 1.5418 Å.
No peak broadening, texture or thermal motion is included.

Largest 10 diffraction maxima, in order of rising 2θ, 2θ from 10° to 90°:
24.28°, 3.665 Å, intensity 9, hkl 0 6 0
25.95°, 3.433 Å, intensity 13, hkl 1 1 1
32.84°, 2.727 Å, intensity 100, hkl 1 5 1
36.56°, 2.458 Å, intensity 40, hkl 2 0 0
41.04°, 2.199 Å, intensity 11, hkl 0 10 0
44.38°, 2.041 Å, intensity 7, hkl 2 6 0
52.66°, 1.738 Å, intensity 14, hkl 2 0 2
56.12°, 1.639 Å, intensity 18, hkl 2 10 0
63.47°, 1.466 Å, intensity 30, hkl 3 5 1
68.86°, 1.364 Å, intensity 10, hkl 2 10 2

Structural model:
abc: 4.915 21.991 4.917
angles: 90.00 90.00 90.00
Space group Cmcm (No. 63)
Asymmetric unit:
Dy: 0.000 0.060 0.250 [4 per cell]
Dy: 0.000 0.250 0.250 [4 per cell]
Dy: 0.000 0.439 0.250 [4 per cell]
Al: 0.000 0.155 0.750 [4 per cell]
In: 0.000 0.345 0.750 [4 per cell]


Entry 10:
The following is a computed X-ray powder pattern of Pm2InSn3Rh4. It was derived from a DFT-relaxed cell (GGA-PBE, Alexandria), using a wavelength of 1.5418 Å.
No peak broadening, texture or thermal motion is included.

Largest 10 diffraction maxima, in order of rising 2θ, 2θ from 10° to 90°:
31.77°, 2.816 Å, intensity 55, hkl 1 0 3
32.85°, 2.727 Å, intensity 100, hkl 1 1 2
40.52°, 2.226 Å, intensity 63, hkl 2 0 0
43.92°, 2.061 Å, intensity 26, hkl 1 1 4
46.34°, 1.959 Å, intensity 28, hkl 1 0 5
52.39°, 1.746 Å, intensity 27, hkl 2 1 3
58.64°, 1.574 Å, intensity 32, hkl 2 2 0
63.22°, 1.471 Å, intensity 22, hkl 2 1 5
68.87°, 1.363 Å, intensity 30, hkl 0 0 8
83.05°, 1.163 Å, intensity 15, hkl 2 0 8

Structural model:
abc: 4.452 4.452 10.909
angles: 90.00 90.00 90.00
Space group P-4m2 (No. 115)
Asymmetric unit:
Pm: 0.000 0.500 0.247 [2 per cell]
In: 0.000 0.000 0.500 [1 per cell]
Sn: 0.000 0.500 0.871 [2 per cell]
Sn: 0.500 0.500 0.500 [1 per cell]
Rh: 0.000 0.000 0.000 [1 per cell]
Rh: 0.000 0.500 0.636 [2 per cell]
Rh: 0.500 0.500 0.000 [1 per cell]


Entry 11:
The following is a computed X-ray powder pattern of ScCd2Hg. It was derived from a DFT-relaxed cell (GGA-PBE, Alexandria), using a wavelength of 1.5418 Å.
No peak broadening, texture or thermal motion is included.

Largest 10 diffraction maxima, in order of rising 2θ, 2θ from 10° to 90°:
31.54°, 2.836 Å, intensity 63, hkl 0 1 2
34.62°, 2.591 Å, intensity 100, hkl 0 1 5
36.99°, 2.430 Å, intensity 35, hkl 0 0 12
37.87°, 2.376 Å, intensity 80, hkl 1 0 7
44.10°, 2.053 Å, intensity 24, hkl 1 0 10
54.27°, 1.690 Å, intensity 14, hkl 0 1 14
55.00°, 1.670 Å, intensity 33, hkl 1 1 0
63.00°, 1.475 Å, intensity 17, hkl 0 1 17
66.64°, 1.403 Å, intensity 14, hkl 2 0 5
68.14°, 1.376 Å, intensity 34, hkl 1 1 12

Structural model:
abc: 3.3390 3.3390 29.1650
angles: 90.00 90.00 120.00
Space group R3m (No. 160, hexagonal axes)
Asymmetric unit:
Sc: 0.0000 0.0000 0.0000 [3 per cell]
Cd: 0.0000 0.0000 0.5840 [3 per cell]
Cd: 0.0000 0.0000 0.7496 [3 per cell]
Hg: 0.0000 0.0000 0.1668 [3 per cell]


Entry 12:
The following is a computed X-ray powder pattern of Tl3InSn3S8. It was derived from a DFT-relaxed cell (GGA-PBE, Alexandria), using a wavelength of 1.5418 Å.
No peak broadening, texture or thermal motion is included.

Largest 10 diffraction maxima, in order of rising 2θ, 2θ from 10° to 90°:
15.36°, 5.770 Å, intensity 12, hkl 1 1 0
23.34°, 3.812 Å, intensity 28, hkl 0 0 2
27.69°, 3.221 Å, intensity 17, hkl 0 2 0
27.87°, 3.201 Å, intensity 33, hkl 2 2 2
31.00°, 2.885 Å, intensity 100, hkl 0 2 2
41.44°, 2.179 Å, intensity 13, hkl 0 2 -2
41.57°, 2.172 Å, intensity 13, hkl 2 0 -2
41.69°, 2.166 Å, intensity 14, hkl 2 2 4
47.29°, 1.922 Å, intensity 11, hkl 4 2 2
48.20°, 1.888 Å, intensity 11, hkl 2 2 -2

Structural model:
abc: 7.688 7.722 8.812
angles: 64.32 64.29 60.32
Space group P-1 (No. 2)
Asymmetric unit:
Tl: 0.000 0.000 0.000 [1 per cell]
Tl: 0.000 0.500 0.000 [1 per cell]
Tl: 0.500 0.000 0.000 [1 per cell]
In: 0.000 0.000 0.500 [1 per cell]
Sn: 0.000 0.500 0.500 [1 per cell]
Sn: 0.500 0.000 0.500 [1 per cell]
Sn: 0.500 0.500 0.500 [1 per cell]
S: 0.230 0.733 0.305 [2 per cell]
S: 0.231 0.230 0.306 [2 per cell]
S: 0.266 0.267 0.700 [2 per cell]
S: 0.266 0.771 0.695 [2 per cell]


Entry 13:
The following is a computed X-ray powder pattern of LiThNO. It was derived from a DFT-relaxed cell (GGA-PBE, Alexandria), using a wavelength of 1.5418 Å.
No peak broadening, texture or thermal motion is included.

Largest 10 diffraction maxima, in order of rising 2θ, 2θ from 10° to 90°:
11.19°, 7.907 Å, intensity 40, hkl 0 0 1
22.49°, 3.953 Å, intensity 21, hkl 0 0 2
27.20°, 3.279 Å, intensity 100, hkl 1 0 1
33.65°, 2.663 Å, intensity 44, hkl 1 0 2
35.22°, 2.548 Å, intensity 32, hkl 1 1 0
42.20°, 2.142 Å, intensity 29, hkl 1 1 2
49.78°, 1.832 Å, intensity 22, hkl 1 1 3
52.83°, 1.733 Å, intensity 24, hkl 1 0 4
58.44°, 1.579 Å, intensity 30, hkl 0 0 5
76.23°, 1.249 Å, intensity 17, hkl 2 1 4

Structural model:
abc: 3.603 3.603 7.907
angles: 90.00 90.00 90.00
Space group P4/nmm (No. 129, origin choice 2)
Asymmetric unit:
Li: 0.250 0.750 0.000 [2 per cell]
Th: 0.250 0.250 0.312 [2 per cell]
N: 0.250 0.250 0.835 [2 per cell]
O: 0.250 0.750 0.500 [2 per cell]